For Pm3Ga9Cu2, a PBE-relaxed structure gives the simulated powder diffractogram in this record (λ = 1.5418 Å (Cu Kα)).
No peak broadening, texture or thermal motion is included.

Cell and atoms:
```
data_Pm3Ga9Cu2
_chemical_formula_sum 'Pm6 Ga18 Cu4'
_cell_length_a 4.257
_cell_length_b 10.096
_cell_length_c 12.387
_cell_angle_alpha 90.00
_cell_angle_beta 90.00
_cell_angle_gamma 90.00
_symmetry_space_group_name_H-M 'I m m m'
_symmetry_Int_Tables_number 71
_symmetry_space_group_name_Hall '-I 2 2'
loop_
_atom_site_label
_atom_site_type_symbol
_atom_site_fract_x
_atom_site_fract_y
_atom_site_fract_z
Pm1 Pm 0.000 0.000 0.000
Pm2 Pm 0.000 0.000 0.320
Ga1 Ga 0.000 0.275 0.130
Ga2 Ga 0.000 0.371 0.337
Ga3 Ga 0.000 0.500 0.000
Cu1 Cu 0.000 0.224 0.500
```

Peak list (10 most intense, 2θ from 15° to 90°, sorted by position)
Position (°2θ)	Rel. int.
30.15	20.2
33.96	42.1
34.38	22.4
35.11	100.0
37.01	15.6
42.23	16.3
42.47	32.3
43.85	17.7
56.58	15.3
62.71	14.4

For BC2, a PBE-relaxed structure gives the simulated powder diffractogram in this record (λ = 1.5418 Å (Cu Kα)).
No peak broadening, texture or thermal motion is included.

Cell and atoms:
```
data_BC2
_chemical_formula_sum 'B4 C8'
_cell_length_a 2.5589
_cell_length_b 2.5589
_cell_length_c 13.3818
_cell_angle_alpha 90.00
_cell_angle_beta 90.00
_cell_angle_gamma 120.00
_symmetry_space_group_name_H-M 'P 3 m 1'
_symmetry_Int_Tables_number 156
_symmetry_space_group_name_Hall 'P 3 -2"'
loop_
_atom_site_label
_atom_site_type_symbol
_atom_site_fract_x
_atom_site_fract_y
_atom_site_fract_z
B1 B 0.0000 0.0000 0.0000
B2 B 0.0000 0.0000 0.3995
B3 B 0.3333 0.6667 0.5650
B4 B 0.6667 0.3333 0.3211
C1 C 0.0000 0.0000 0.5140
C2 C 0.0000 0.0000 0.8777
C3 C 0.3333 0.6667 0.0498
C4 C 0.3333 0.6667 0.1627
C5 C 0.3333 0.6667 0.6869
C6 C 0.6667 0.3333 0.2029
C7 C 0.6667 0.3333 0.7223
C8 C 0.6667 0.3333 0.8424
```

Peak list (10 most intense, 2θ from 15° to 90°, sorted by position)
Position (°2θ)	Rel. int.
19.90	5.0
40.44	28.5
43.00	100.0
45.72	3.1
70.54	22.0
74.11	25.4
77.27	5.2
84.60	7.9
88.00	11.1
89.70	8.6

For Cs3GaSb2, a PBE-relaxed structure gives the simulated powder diffractogram in this record (λ = 1.5418 Å (Cu Kα)).
No peak broadening, texture or thermal motion is included.

Cell and atoms:
```
data_Cs3GaSb2
_chemical_formula_sum 'Cs12 Ga4 Sb8'
_cell_length_a 9.283
_cell_length_b 16.102
_cell_length_c 7.598
_cell_angle_alpha 90.00
_cell_angle_beta 90.00
_cell_angle_gamma 90.00
_symmetry_space_group_name_H-M 'I b a m'
_symmetry_Int_Tables_number 72
_symmetry_space_group_name_Hall '-I 2 2c'
loop_
_atom_site_label
_atom_site_type_symbol
_atom_site_fract_x
_atom_site_fract_y
_atom_site_fract_z
Cs1 Cs 0.000 0.000 0.250
Cs2 Cs 0.196 0.327 0.000
Ga1 Ga 0.000 0.500 0.250
Sb1 Sb 0.170 0.416 0.500
```

Peak list (10 most intense, 2θ from 15° to 90°, sorted by position)
Position (°2θ)	Rel. int.
19.11	19.7
22.11	31.1
25.94	42.8
26.84	100.0
28.00	26.6
29.38	62.5
30.41	62.0
32.41	41.3
43.32	27.0
57.19	20.1

For Pm2Ga5Ag, a PBE-relaxed structure gives the simulated powder diffractogram in this record (λ = 1.5418 Å (Cu Kα)).
No peak broadening, texture or thermal motion is included.

Cell and atoms:
```
data_Pm2Ga5Ag
_chemical_formula_sum 'Pm4 Ga10 Ag2'
_cell_length_a 6.185
_cell_length_b 6.185
_cell_length_c 8.773
_cell_angle_alpha 90.00
_cell_angle_beta 90.00
_cell_angle_gamma 90.00
_symmetry_space_group_name_H-M 'I 4 m m'
_symmetry_Int_Tables_number 107
_symmetry_space_group_name_Hall 'I 4 -2'
loop_
_atom_site_label
_atom_site_type_symbol
_atom_site_fract_x
_atom_site_fract_y
_atom_site_fract_z
Pm1 Pm 0.000 0.500 0.000
Ga1 Ga 0.000 0.000 0.029
Ga2 Ga 0.226 0.226 0.750
Ag1 Ag 0.000 0.000 0.417
```

Peak list (10 most intense, 2θ from 15° to 90°, sorted by position)
Position (°2θ)	Rel. int.
28.84	19.3
33.94	15.5
35.52	100.0
41.16	11.6
41.29	37.1
46.33	10.8
59.76	25.3
62.77	8.9
63.77	8.7
71.53	21.7

For Li2PmAgF6, a PBE-relaxed structure gives the simulated powder diffractogram in this record (λ = 1.5418 Å (Cu Kα)).
No peak broadening, texture or thermal motion is included.

Cell and atoms:
```
data_Li2PmAgF6
_chemical_formula_sum 'Li2 Pm1 Ag1 F6'
_cell_length_a 5.532
_cell_length_b 5.555
_cell_length_c 5.564
_cell_angle_alpha 90.70
_cell_angle_beta 119.37
_cell_angle_gamma 119.46
_symmetry_space_group_name_H-M 'P 1'
_symmetry_Int_Tables_number 1
_symmetry_space_group_name_Hall 'P 1'
loop_
_atom_site_label
_atom_site_type_symbol
_atom_site_fract_x
_atom_site_fract_y
_atom_site_fract_z
Li1 Li 0.000 0.000 0.000
Li2 Li 0.001 0.497 0.505
Pm1 Pm 0.555 0.775 0.279
Ag1 Ag 0.505 0.258 0.762
F1 F 0.117 0.743 0.247
F2 F 0.484 0.328 0.197
F3 F 0.485 0.695 0.834
F4 F 0.845 0.186 0.689
F5 F 0.973 0.783 0.689
F6 F 0.977 0.187 0.290
```

Peak list (10 most intense, 2θ from 15° to 90°, sorted by position)
Position (°2θ)	Rel. int.
22.48	100.0
22.76	44.2
32.00	68.7
32.21	41.9
39.43	25.1
39.54	25.1
39.77	41.2
45.88	28.9
46.49	17.6
57.29	20.6

For Tm12Fe6Sb, a PBE-relaxed structure gives the simulated powder diffractogram in this record (λ = 1.5418 Å (Cu Kα)).
No peak broadening, texture or thermal motion is included.

Cell and atoms:
```
data_Tm12Fe6Sb
_chemical_formula_sum 'Tm24 Fe12 Sb2'
_cell_length_a 9.562
_cell_length_b 9.562
_cell_length_c 9.562
_cell_angle_alpha 90.00
_cell_angle_beta 90.00
_cell_angle_gamma 90.00
_symmetry_space_group_name_H-M 'I m -3'
_symmetry_Int_Tables_number 204
_symmetry_space_group_name_Hall '-I 2 2 3'
loop_
_atom_site_label
_atom_site_type_symbol
_atom_site_fract_x
_atom_site_fract_y
_atom_site_fract_z
Tm1 Tm 0.000 0.300 0.197
Fe1 Fe 0.000 0.110 0.500
Sb1 Sb 0.000 0.000 0.000
```

Peak list (10 most intense, 2θ from 15° to 90°, sorted by position)
Position (°2θ)	Rel. int.
29.54	48.2
32.43	67.1
35.11	100.0
37.63	25.9
48.55	23.2
56.08	40.5
59.60	42.1
69.51	23.0
86.33	16.2
87.82	19.6